[1]
Theoretical XRD peak list
Compound: CrFeAs4
Radiation: Cu Kα (λ = 1.5418 Å)
Structure: a cell relaxed with GGA-PBE
Intensities are scaled so that the largest is 100.

The 6 most intense peaks (2θ from 15° to 90°), in order of falling intensity:
33.3 deg, I 100.0; 37.9 deg, I 81.8; 34.9 deg, I 75.9; 48.0 deg, I 51.1; 54.5 deg, I 43.2; 36.0 deg, I 38.6

Crystal structure
```
6
Lattice="5.4468 0.0000 0.0000 0.0000 2.9164 0.0000 -0.0057 0.0000 6.1807" Properties=species:S:1:pos:R:3 pbc="T T T"
Cr 0.0000 0.0000 0.0000
Fe 2.7205 1.4582 3.0904
As 0.9979 0.0000 2.2961
As 1.8057 1.4582 5.2919
As 3.6354 1.4582 0.8889
As 4.4432 0.0000 3.8846
```

=====

[2]
Theoretical XRD peak list
Compound: Tm6Co2Sn
Radiation: Cu Kα (λ = 1.5418 Å)
Structure: a cell relaxed with GGA-PBE
Intensities are scaled so that the largest is 100.

The 6 most intense peaks (2θ from 15° to 90°), in order of falling intensity:
32.6 deg, I 100.0; 35.1 deg, I 38.1; 35.5 deg, I 31.9; 34.9 deg, I 29.3; 30.4 deg, I 24.3; 60.9 deg, I 21.0

Crystal structure
```
18
Lattice="-4.6411 4.7466 4.8975 4.6411 -4.7466 4.8975 4.6411 4.7466 -4.8975" Properties=species:S:1:pos:R:3 pbc="T T T"
Tm 4.6411 2.7291 -2.5952
Tm 2.6385 1.7632 0.0000
Tm 6.6438 1.7632 0.0000
Tm 1.7783 4.7466 -1.7439
Tm 2.8629 0.0000 3.1536
Tm 0.0000 2.0175 2.3023
Tm 4.6411 2.7291 2.5952
Tm 1.7783 4.7466 1.7439
Tm 2.8629 0.0000 6.6415
Tm -2.0026 2.9834 4.8975
Tm 2.0026 2.9834 4.8975
Tm 0.0000 2.0175 7.4928
Co 4.6411 0.0000 1.1248
Co 0.0000 3.3671 0.0000
Co 0.0000 6.1262 0.0000
Co 0.0000 4.7466 3.7727
Sn 0.0000 0.0000 0.0000
Sn 0.0000 0.0000 4.8975
```